For K2NaCoO2, a GGA+U-relaxed structure gives the calculated PXRD pattern in this record (Cu Kα (λ = 1.5418 Å)).
Kinematic intensities with the Lorentz-polarization factor, no thermal factor.

Peak list (6 most intense, 10 to 80 degrees two-theta, sorted by position)
index  Position (°2θ)  Rel. int.
1 1 0  17.7  16.0
0 1 1  24.0  20.3
1 2 1  32.3  100.0
0 4 0  34.1  23.6
1 3 1  37.7  21.9
0 0 2  45.8  16.2

Crystal structure
Cell lengths 5.7123, 10.5177, 3.9613 Å; angles 90.00, 90.00, 90.00 degrees
Atoms (fractional coordinates):
K 0.1160 0.2425 0.0000
K 0.3840 0.7425 0.5000
K 0.6160 0.2575 0.5000
K 0.8840 0.7575 0.0000
Na 0.0000 0.5000 0.5000
Na 0.5000 0.0000 0.0000
Co 0.0000 0.0000 0.5000
Co 0.5000 0.5000 0.0000
O 0.2400 0.5956 0.0000
O 0.2600 0.0956 0.5000
O 0.7400 0.9044 0.5000
O 0.7600 0.4044 0.0000